This entry pairs a crystal structure of Co2PbF6 with its simulated XRD peak list. Radiation: Cu Kα (λ = 1.5418 Å). Structure: a cell relaxed with GGA+U.
Neutral-atom scattering factors, no anomalous dispersion.

Atomic structure:
Unit cell a=5.4622 b=5.4622 c=5.2434 alpha=90.00 beta=90.00 gamma=120.00
Sites, in units of the cell vectors:
Co 0.3333 0.6667 0.0000
Co 0.6667 0.3333 0.0000
Pb 0.0000 0.0000 0.5000
F 0.0000 0.3623 0.2109
F 0.0000 0.6377 0.7891
F 0.3623 0.0000 0.2109
F 0.3623 0.3623 0.7891
F 0.6377 0.0000 0.7891
F 0.6377 0.6377 0.2109

Most intense lines, 2θ from 10° to 80°, in order of rising 2θ:
- 2θ = 18.76°, I 22, (1 0 0)
- 2θ = 25.36°, I 100, (1 0 1)
- 2θ = 32.79°, I 26, (1 1 0)
- 2θ = 37.12°, I 9, (1 1 1)
- 2θ = 39.29°, I 10, (1 0 2)
- 2θ = 41.90°, I 25, (2 0 1)
- 2θ = 48.11°, I 35, (2 -1 2)
- 2θ = 54.20°, I 25, (3 -1 1)
- 2θ = 56.10°, I 11, (1 0 3)
- 2θ = 58.54°, I 12, (3 0 0)
- 2θ = 74.56°, I 10, (3 1 1)
- 2θ = 76.17°, I 9, (2 1 3)